For TlCuGeO4, the GGA-PBE geometry in Alexandria gives the simulated powder diffraction line list in this record (Cu Kα).
Lines closer than 0.1° are merged.

Structural model:
Cell lengths 6.073, 9.197, 6.680 Å; angles 90.00, 90.00, 90.00 degrees
Space group Cmcm (No. 63)
Symmetry-distinct sites (fractional):
Tl: 0.000 0.000 0.000 x4
Cu: 0.000 0.325 0.250 x4
Ge: 0.000 0.354 0.750 x4
O: 0.000 0.252 0.525 x8
O: 0.228 0.485 0.750 x8

Largest 10 diffraction maxima, low angle first, 2θ from 10° to 80°:
h k l	d/Å	Rel. int.
1 1 0	5.068	36
0 2 0	4.599	20
2 0 0	3.037	48
1 1 2	2.789	100
1 3 0	2.737	67
0 2 2	2.702	22
2 2 2	2.019	34
3 1 2	1.701	21
2 4 2	1.607	27
1 3 4	1.426	18